(1)
The following is a theoretical X-ray diffraction stick pattern of Tb5YAl2. It was derived from a PBE-relaxed structure, using Cu Kα (λ = 1.5418 Å).

Main lines, by angle (10 to 90 degrees two-theta):
hkl 0 1 1, 11.18 deg, I 24; hkl 0 2 0, 17.14 deg, I 22; hkl 0 2 2, 22.47 deg, I 26; hkl 1 2 1, 31.31 deg, I 100; hkl 1 0 3, 33.31 deg, I 72; hkl 0 2 4, 33.96 deg, I 89; hkl 0 4 0, 34.68 deg, I 30; hkl 1 4 3, 48.85 deg, I 34; hkl 1 2 7, 61.57 deg, I 28; hkl 2 2 4, 62.87 deg, I 30

Atomic structure:
Unit cell a=3.568 b=10.346 c=12.281 alpha=90.00 beta=90.00 gamma=90.00
Space group Immm (No. 71)
Asymmetric unit:
Tb: 0.000 0.000 0.000 [2 per cell]
Tb: 0.000 0.278 0.361 [8 per cell]
Y: 0.000 0.500 0.000 [2 per cell]
Al: 0.000 0.000 0.268 [4 per cell]

=====

(2)
The following is a theoretical X-ray diffraction stick pattern of NaZrTe2Pd. It was derived from a PBE-relaxed structure, using Cu Kα (λ = 1.5418 Å).

Main lines, by angle (10 to 90 degrees two-theta):
hkl 1 0 0, 10.85 deg, I 100; hkl 1 1 -1, 24.33 deg, I 53; hkl 0 0 2, 25.32 deg, I 22; hkl 1 1 1, 26.07 deg, I 60; hkl 2 0 -2, 30.86 deg, I 20; hkl 1 1 2, 34.94 deg, I 38; hkl 2 1 -2, 36.39 deg, I 35; hkl 3 1 -1, 38.63 deg, I 24; hkl 2 1 2, 41.13 deg, I 21; hkl 4 0 0, 44.39 deg, I 60

Atomic structure:
Unit cell a=8.257 b=4.719 c=7.124 alpha=90.00 beta=99.00 gamma=90.00
Space group P2/c (No. 13)
Asymmetric unit:
Na: 0.000 0.175 0.250 [2 per cell]
Zr: 0.500 0.499 0.750 [2 per cell]
Te: 0.235 0.313 0.952 [4 per cell]
Pd: 0.500 0.000 0.000 [2 per cell]